Simulated PXRD pattern
Compound: Li6Mn3CoO10
Radiation: Cu Kα
Structure: a DFT-relaxed cell (PBE+U, the Materials Project)
Intensities are scaled so that the largest is 100.

Main lines, by angle (10 to 90 degrees two-theta):
14.76 deg, d = 6.004 Å, I 9.0
18.33 deg, d = 4.839 Å, I 100.0
35.05 deg, d = 2.560 Å, I 15.7
36.29 deg, d = 2.475 Å, I 11.7
36.58 deg, d = 2.457 Å, I 11.2
42.16 deg, d = 2.143 Å, I 32.9
44.25 deg, d = 2.047 Å, I 56.4
62.28 deg, d = 1.491 Å, I 8.3
62.57 deg, d = 1.485 Å, I 7.9
62.94 deg, d = 1.477 Å, I 8.0
63.29 deg, d = 1.469 Å, I 8.3
63.79 deg, d = 1.459 Å, I 7.6

```
data_Li6Mn3CoO10
_symmetry_space_group_name_H-M 'P 1'
_symmetry_Int_Tables_number 1
_symmetry_space_group_name_Hall 'P 1'
_cell_length_a 2.9423
_cell_length_b 5.0857
_cell_length_c 12.1015
_cell_angle_alpha 95.67
_cell_angle_beta 94.25
_cell_angle_gamma 90.88
loop_
_atom_site_label
_atom_site_type_symbol
_atom_site_fract_x
_atom_site_fract_y
_atom_site_fract_z
Li1 Li 0.0000 0.0000 0.0000
Li2 Li 0.0933 0.7050 0.1945
Li3 Li 0.1880 0.4090 0.3872
Li4 Li 0.3924 0.8112 0.7926
Li5 Li 0.5936 0.2040 0.1940
Li6 Li 0.7929 0.5990 0.5942
Mn1 Mn 0.5054 0.5154 0.0010
Mn2 Mn 0.6839 0.8969 0.3882
Mn3 Mn 0.9009 0.3007 0.7925
Co1 Co 0.2794 0.1054 0.5918
O1 O 0.0282 0.3735 0.0820
O2 O 0.1605 0.0374 0.3066
O3 O 0.2176 0.7864 0.4868
O4 O 0.3139 0.4361 0.6914
O5 O 0.4877 0.1764 0.8922
O6 O 0.5337 0.8330 0.0852
O7 O 0.6557 0.5765 0.3050
O8 O 0.7011 0.2286 0.4969
O9 O 0.8680 0.9661 0.6898
O10 O 0.9722 0.6288 0.9017
```

Simulated PXRD pattern
Compound: Li7Mn2Co3O12
Radiation: Cu Kα
Structure: a DFT-relaxed cell (PBE+U, the Materials Project)
Intensities are scaled so that the largest is 100.

Main lines, by angle (10 to 90 degrees two-theta):
10.02 deg, d = 8.828 Å, I 10.0
18.31 deg, d = 4.846 Å, I 100.0
35.86 deg, d = 2.504 Å, I 26.6
36.27 deg, d = 2.477 Å, I 12.4
43.37 deg, d = 2.086 Å, I 57.7
43.92 deg, d = 2.061 Å, I 27.8
47.62 deg, d = 1.910 Å, I 12.6
57.18 deg, d = 1.611 Å, I 9.4
62.83 deg, d = 1.479 Å, I 7.9
63.02 deg, d = 1.475 Å, I 15.1
63.20 deg, d = 1.471 Å, I 7.4
63.86 deg, d = 1.458 Å, I 15.1

```
data_Li7Mn2Co3O12
_symmetry_space_group_name_H-M 'P 1 2 1'
_symmetry_Int_Tables_number 3
_symmetry_space_group_name_Hall 'P 2y'
_cell_length_a 5.0341
_cell_length_b 8.8279
_cell_length_c 5.1153
_cell_angle_alpha 90.00
_cell_angle_beta 108.69
_cell_angle_gamma 90.00
loop_
_atom_site_label
_atom_site_type_symbol
_atom_site_fract_x
_atom_site_fract_y
_atom_site_fract_z
Li1 Li 0.0000 0.0000 0.0000
Li2 Li 0.0000 0.1583 0.5000
Li3 Li 0.0000 0.3178 0.0000
Li4 Li 0.0000 0.6579 0.0000
Li5 Li 0.5000 0.1609 0.0000
Li6 Li 0.5000 0.4877 0.0000
Li7 Li 0.5000 0.8293 0.0000
Mn1 Mn 0.0000 0.8288 0.5000
Mn2 Mn 0.5000 0.3222 0.5000
Co1 Co 0.0000 0.4786 0.5000
Co2 Co 0.5000 0.0006 0.5000
Co3 Co 0.5000 0.6578 0.5000
O1 O 0.2397 0.8243 0.2718
O2 O 0.2424 0.6650 0.7190
O3 O 0.2467 0.9787 0.7231
O4 O 0.2574 0.3347 0.7269
O5 O 0.2648 0.4846 0.2709
O6 O 0.2765 0.1679 0.2662
```

Simulated PXRD pattern
Compound: Li4MnCo2O7
Radiation: Cu Kα
Structure: a DFT-relaxed cell (PBE+U, the Materials Project)
Intensities are scaled so that the largest is 100.

Main lines, by angle (10 to 90 degrees two-theta):
18.30 deg, d = 4.847 Å, I 100.0
35.69 deg, d = 2.516 Å, I 14.3
35.97 deg, d = 2.497 Å, I 13.5
36.52 deg, d = 2.460 Å, I 12.2
37.57 deg, d = 2.394 Å, I 7.8
43.10 deg, d = 2.099 Å, I 28.7
43.50 deg, d = 2.080 Å, I 28.1
44.22 deg, d = 2.048 Å, I 26.5
47.63 deg, d = 1.909 Å, I 8.8
62.79 deg, d = 1.480 Å, I 7.5
62.98 deg, d = 1.476 Å, I 7.7
63.03 deg, d = 1.475 Å, I 7.6

```
data_Li4MnCo2O7
_symmetry_space_group_name_H-M 'P 1'
_symmetry_Int_Tables_number 1
_symmetry_space_group_name_Hall 'P 1'
_cell_length_a 5.1354
_cell_length_b 7.6607
_cell_length_c 7.7107
_cell_angle_alpha 61.02
_cell_angle_beta 70.92
_cell_angle_gamma 83.36
loop_
_atom_site_label
_atom_site_type_symbol
_atom_site_fract_x
_atom_site_fract_y
_atom_site_fract_z
Li1 Li 0.0000 0.0000 0.0000
Li2 Li 0.0010 0.2821 0.5718
Li3 Li 0.0016 0.8522 0.7209
Li4 Li 0.0045 0.1381 0.2871
Li5 Li 0.0168 0.5732 0.1301
Li6 Li 0.5074 0.6423 0.7842
Li7 Li 0.9942 0.7134 0.4341
Li8 Li 0.9965 0.4418 0.8496
Mn1 Mn 0.4984 0.9243 0.3612
Mn2 Mn 0.5030 0.4993 0.4999
Co1 Co 0.4907 0.0541 0.6530
Co2 Co 0.5018 0.2213 0.9241
Co3 Co 0.5041 0.3554 0.2131
Co4 Co 0.5151 0.7784 0.0594
O1 O 0.2625 0.8381 0.8879
O2 O 0.2648 0.0878 0.4652
O3 O 0.2711 0.2701 0.7327
O4 O 0.2789 0.6824 0.5836
O5 O 0.2820 0.3788 0.0458
O6 O 0.2830 0.5272 0.3175
O7 O 0.2860 0.9550 0.1782
O8 O 0.7132 0.3237 0.3954
O9 O 0.7224 0.1674 0.1262
O10 O 0.7250 0.7419 0.2695
O11 O 0.7293 0.9035 0.5217
O12 O 0.7311 0.4591 0.6675
O13 O 0.7329 0.0407 0.8248
O14 O 0.7500 0.6157 0.9676
```

Simulated PXRD pattern
Compound: Li7Mn4CoO12
Radiation: Cu Kα
Structure: a DFT-relaxed cell (PBE+U, the Materials Project)
Intensities are scaled so that the largest is 100.

Main lines, by angle (10 to 90 degrees two-theta):
12.12 deg, d = 7.304 Å, I 8.7
18.31 deg, d = 4.845 Å, I 100.0
34.71 deg, d = 2.585 Å, I 14.6
36.27 deg, d = 2.477 Å, I 24.4
41.98 deg, d = 2.152 Å, I 30.6
44.03 deg, d = 2.057 Å, I 55.4
47.40 deg, d = 1.918 Å, I 8.3
57.97 deg, d = 1.591 Å, I 8.9
62.33 deg, d = 1.490 Å, I 15.1
62.59 deg, d = 1.484 Å, I 15.2
63.23 deg, d = 1.471 Å, I 8.1
64.81 deg, d = 1.439 Å, I 7.3

```
data_Li7Mn4CoO12
_symmetry_space_group_name_H-M 'P 1 m 1'
_symmetry_Int_Tables_number 6
_symmetry_space_group_name_Hall 'P -2y'
_cell_length_a 5.2001
_cell_length_b 2.8771
_cell_length_c 14.6161
_cell_angle_alpha 90.00
_cell_angle_beta 91.96
_cell_angle_gamma 90.00
loop_
_atom_site_label
_atom_site_type_symbol
_atom_site_fract_x
_atom_site_fract_y
_atom_site_fract_z
Li1 Li 0.0000 0.0000 0.0000
Li2 Li 0.0005 0.0000 0.4972
Li3 Li 0.1697 0.5000 0.3313
Li4 Li 0.3299 0.0000 0.1612
Li5 Li 0.5019 0.5000 0.9983
Li6 Li 0.6730 0.0000 0.8386
Li7 Li 0.8324 0.5000 0.6663
Mn1 Mn 0.1472 0.5000 0.8403
Mn2 Mn 0.3253 0.0000 0.6673
Mn3 Mn 0.5108 0.5000 0.4963
Mn4 Mn 0.8425 0.5000 0.1598
Co1 Co 0.6781 0.0000 0.3293
O1 O 0.0066 0.0000 0.7608
O2 O 0.1333 0.5000 0.0922
O3 O 0.1737 0.5000 0.5910
O4 O 0.3202 0.0000 0.9073
O5 O 0.3608 0.0000 0.4186
O6 O 0.4639 0.5000 0.7466
O7 O 0.5290 0.5000 0.2472
O8 O 0.6585 0.0000 0.5741
O9 O 0.6790 0.0000 0.0906
O10 O 0.8440 0.5000 0.4084
O11 O 0.8618 0.5000 0.9095
O12 O 0.9792 0.0000 0.2408
```

Simulated PXRD pattern
Compound: Li5MnCo2O8
Radiation: Cu Kα
Structure: a DFT-relaxed cell (PBE+U, the Materials Project)
Intensities are scaled so that the largest is 100.

Main lines, by angle (10 to 90 degrees two-theta):
18.43 deg, d = 4.815 Å, I 100.0
18.68 deg, d = 4.749 Å, I 32.6
21.46 deg, d = 4.140 Å, I 11.1
36.04 deg, d = 2.492 Å, I 10.0
36.17 deg, d = 2.483 Å, I 25.7
36.46 deg, d = 2.464 Å, I 12.2
43.73 deg, d = 2.070 Å, I 61.5
44.18 deg, d = 2.050 Å, I 30.0
57.62 deg, d = 1.600 Å, I 9.6
63.52 deg, d = 1.465 Å, I 16.2
63.88 deg, d = 1.457 Å, I 8.2
64.29 deg, d = 1.449 Å, I 16.0

```
data_Li5MnCo2O8
_symmetry_space_group_name_H-M 'C 1 2/m 1'
_symmetry_Int_Tables_number 12
_symmetry_space_group_name_Hall '-C 2y'
_cell_length_a 10.0195
_cell_length_b 5.8289
_cell_length_c 5.8828
_cell_angle_alpha 90.00
_cell_angle_beta 125.07
_cell_angle_gamma 90.00
loop_
_atom_site_label
_atom_site_type_symbol
_atom_site_fract_x
_atom_site_fract_y
_atom_site_fract_z
Li1 Li 0.0000 0.0000 0.0000
Li2 Li 0.0000 0.0000 0.5000
Li3 Li 0.0000 0.5000 0.0000
Li4 Li 0.2500 0.2500 0.0000
Mn1 Mn 0.0000 0.5000 0.5000
Co1 Co 0.2500 0.2500 0.5000
O1 O 0.0109 0.2657 0.2761
O2 O 0.2378 0.5000 0.7407
O3 O 0.2505 0.0000 0.7159
```

Simulated PXRD pattern
Compound: Li5Mn2CoO8
Radiation: Cu Kα
Structure: a DFT-relaxed cell (PBE+U, the Materials Project)
Intensities are scaled so that the largest is 100.

Main lines, by angle (10 to 90 degrees two-theta):
10.85 deg, d = 8.152 Å, I 27.8
15.07 deg, d = 5.880 Å, I 18.5
18.46 deg, d = 4.806 Å, I 100.0
18.75 deg, d = 4.733 Å, I 9.0
32.98 deg, d = 2.716 Å, I 9.1
36.53 deg, d = 2.460 Å, I 23.2
36.66 deg, d = 2.452 Å, I 11.4
44.02 deg, d = 2.057 Å, I 59.3
44.45 deg, d = 2.038 Å, I 27.9
57.87 deg, d = 1.593 Å, I 10.6
63.94 deg, d = 1.456 Å, I 14.9
64.75 deg, d = 1.440 Å, I 22.7

```
data_Li5Mn2CoO8
_symmetry_space_group_name_H-M 'P 1 2/m 1'
_symmetry_Int_Tables_number 10
_symmetry_space_group_name_Hall '-P 2y'
_cell_length_a 5.8803
_cell_length_b 2.8792
_cell_length_c 8.1531
_cell_angle_alpha 90.00
_cell_angle_beta 90.92
_cell_angle_gamma 90.00
loop_
_atom_site_label
_atom_site_type_symbol
_atom_site_fract_x
_atom_site_fract_y
_atom_site_fract_z
Li1 Li 0.0000 0.0000 0.0000
Li2 Li 0.0000 0.0000 0.5000
Li3 Li 0.2412 0.5000 0.2705
Li4 Li 0.5000 0.0000 0.5000
Mn1 Mn 0.2492 0.5000 0.7429
Co1 Co 0.5000 0.0000 0.0000
O1 O 0.0298 0.0000 0.7545
O2 O 0.2537 0.5000 0.5204
O3 O 0.2775 0.5000 0.9913
O4 O 0.4800 0.0000 0.7627
```

Simulated PXRD pattern
Compound: Li3MnCoO5
Radiation: Cu Kα
Structure: a DFT-relaxed cell (PBE+U, the Materials Project)
Intensities are scaled so that the largest is 100.

Main lines, by angle (10 to 90 degrees two-theta):
11.90 deg, d = 7.437 Å, I 10.8
18.34 deg, d = 4.837 Å, I 100.0
19.75 deg, d = 4.495 Å, I 12.4
22.53 deg, d = 3.947 Å, I 8.3
35.69 deg, d = 2.516 Å, I 26.6
36.67 deg, d = 2.450 Å, I 11.6
43.28 deg, d = 2.091 Å, I 59.7
44.25 deg, d = 2.047 Å, I 28.3
57.16 deg, d = 1.612 Å, I 11.1
62.94 deg, d = 1.477 Å, I 15.3
63.28 deg, d = 1.469 Å, I 7.9
64.29 deg, d = 1.449 Å, I 15.0

```
data_Li3MnCoO5
_symmetry_space_group_name_H-M 'C 1 2/m 1'
_symmetry_Int_Tables_number 12
_symmetry_space_group_name_Hall '-C 2y'
_cell_length_a 4.9770
_cell_length_b 14.8739
_cell_length_c 5.1050
_cell_angle_alpha 90.00
_cell_angle_beta 108.66
_cell_angle_gamma 90.00
loop_
_atom_site_label
_atom_site_type_symbol
_atom_site_fract_x
_atom_site_fract_y
_atom_site_fract_z
Li1 Li 0.0000 0.0000 0.0000
Li2 Li 0.0000 0.0920 0.5000
Li3 Li 0.0000 0.3021 0.5000
Li4 Li 0.0000 0.5000 0.5000
Mn1 Mn 0.0000 0.1997 0.0000
Co1 Co 0.0000 0.4059 0.0000
O1 O 0.2259 0.5000 0.2439
O2 O 0.2457 0.1094 0.2202
O3 O 0.2476 0.2053 0.7778
```

Simulated PXRD pattern
Compound: Li4MnCo2O7
Radiation: Cu Kα
Structure: a DFT-relaxed cell (PBE+U, the Materials Project)
Intensities are scaled so that the largest is 100.

Main lines, by angle (10 to 90 degrees two-theta):
12.58 deg, d = 7.038 Å, I 7.1
18.42 deg, d = 4.817 Å, I 100.0
35.03 deg, d = 2.562 Å, I 16.6
36.64 deg, d = 2.453 Å, I 11.8
36.89 deg, d = 2.437 Å, I 11.4
42.07 deg, d = 2.148 Å, I 31.6
44.66 deg, d = 2.029 Å, I 51.3
62.59 deg, d = 1.484 Å, I 7.6
62.83 deg, d = 1.479 Å, I 7.6
63.19 deg, d = 1.471 Å, I 7.6
63.49 deg, d = 1.465 Å, I 7.5
64.29 deg, d = 1.449 Å, I 6.8

```
data_Li4MnCo2O7
_symmetry_space_group_name_H-M 'P -1'
_symmetry_Int_Tables_number 2
_symmetry_space_group_name_Hall '-P 1'
_cell_length_a 2.9358
_cell_length_b 8.1213
_cell_length_c 10.6462
_cell_angle_alpha 78.32
_cell_angle_beta 85.09
_cell_angle_gamma 89.03
loop_
_atom_site_label
_atom_site_type_symbol
_atom_site_fract_x
_atom_site_fract_y
_atom_site_fract_z
Li1 Li 0.0000 0.0000 0.0000
Li2 Li 0.0000 0.5000 0.0000
Li3 Li 0.1338 0.0659 0.7206
Li4 Li 0.2819 0.6439 0.4325
Li5 Li 0.4231 0.2017 0.1436
Mn1 Mn 0.4365 0.7219 0.1405
Co1 Co 0.1296 0.5734 0.7159
Co2 Co 0.2859 0.1424 0.4282
O1 O 0.0257 0.2559 0.9815
O2 O 0.1110 0.3299 0.7286
O3 O 0.1181 0.8114 0.7076
O4 O 0.2629 0.3843 0.4224
O5 O 0.3139 0.9015 0.4374
O6 O 0.4202 0.9450 0.1478
O7 O 0.4621 0.4710 0.1518
```

Simulated PXRD pattern
Compound: Li4MnCo2O7
Radiation: Cu Kα
Structure: a DFT-relaxed cell (PBE+U, the Materials Project)
Intensities are scaled so that the largest is 100.

Main lines, by angle (10 to 90 degrees two-theta):
10.43 deg, d = 8.480 Å, I 7.7
18.20 deg, d = 4.875 Å, I 100.0
35.27 deg, d = 2.544 Å, I 14.1
36.18 deg, d = 2.483 Å, I 27.2
37.66 deg, d = 2.388 Å, I 6.7
42.67 deg, d = 2.119 Å, I 28.3
43.72 deg, d = 2.070 Å, I 54.9
47.46 deg, d = 1.916 Å, I 8.7
57.44 deg, d = 1.604 Å, I 9.4
62.60 deg, d = 1.484 Å, I 22.2
62.90 deg, d = 1.478 Å, I 14.7
64.45 deg, d = 1.446 Å, I 7.3

```
data_Li4MnCo2O7
_symmetry_space_group_name_H-M 'C 1 m 1'
_symmetry_Int_Tables_number 8
_symmetry_space_group_name_Hall 'C -2y'
_cell_length_a 33.9774
_cell_length_b 2.8914
_cell_length_c 5.1888
_cell_angle_alpha 90.00
_cell_angle_beta 93.35
_cell_angle_gamma 90.00
loop_
_atom_site_label
_atom_site_type_symbol
_atom_site_fract_x
_atom_site_fract_y
_atom_site_fract_z
Li1 Li 0.0000 0.0000 0.0000
Li2 Li 0.0046 0.5000 0.4977
Li3 Li 0.0710 0.0000 0.3765
Li4 Li 0.1402 0.5000 0.2188
Li5 Li 0.2143 0.0000 0.0781
Li6 Li 0.2902 0.5000 0.9298
Li7 Li 0.3598 0.0000 0.7833
Li8 Li 0.4322 0.5000 0.6528
Mn1 Mn 0.2162 0.5000 0.5820
Mn2 Mn 0.4316 0.0000 0.1421
Co1 Co 0.0677 0.5000 0.8870
Co2 Co 0.1417 0.0000 0.7246
Co3 Co 0.2884 0.0000 0.4294
Co4 Co 0.3579 0.5000 0.2851
O1 O 0.0392 0.0000 0.6980
O2 O 0.0393 0.5000 0.1824
O3 O 0.1082 0.0000 0.0235
O4 O 0.1130 0.5000 0.5577
O5 O 0.1808 0.5000 0.8683
O6 O 0.1851 0.0000 0.4202
O7 O 0.2470 0.0000 0.7466
O8 O 0.2510 0.5000 0.2964
O9 O 0.3219 0.5000 0.5874
O10 O 0.3240 0.0000 0.1100
O11 O 0.3929 0.0000 0.4389
O12 O 0.3971 0.5000 0.9942
O13 O 0.4613 0.0000 0.8592
O14 O 0.4607 0.5000 0.3111
```

Simulated PXRD pattern
Compound: Li7Mn2Co3O12
Radiation: Cu Kα
Structure: a DFT-relaxed cell (PBE+U, the Materials Project)
Intensities are scaled so that the largest is 100.

Main lines, by angle (10 to 90 degrees two-theta):
12.38 deg, d = 7.150 Å, I 7.1
18.32 deg, d = 4.843 Å, I 100.0
35.83 deg, d = 2.506 Å, I 13.4
36.03 deg, d = 2.493 Å, I 14.6
36.29 deg, d = 2.476 Å, I 12.2
43.16 deg, d = 2.096 Å, I 28.7
43.71 deg, d = 2.071 Å, I 27.8
43.96 deg, d = 2.060 Å, I 27.2
62.79 deg, d = 1.480 Å, I 15.1
63.44 deg, d = 1.466 Å, I 14.8
63.86 deg, d = 1.458 Å, I 7.3
63.99 deg, d = 1.455 Å, I 7.6

```
data_Li7Mn2Co3O12
_symmetry_space_group_name_H-M 'P 1'
_symmetry_Int_Tables_number 1
_symmetry_space_group_name_Hall 'P 1'
_cell_length_a 5.8204
_cell_length_b 5.9174
_cell_length_c 7.7366
_cell_angle_alpha 67.55
_cell_angle_beta 78.78
_cell_angle_gamma 60.61
loop_
_atom_site_label
_atom_site_type_symbol
_atom_site_fract_x
_atom_site_fract_y
_atom_site_fract_z
Li1 Li 0.0000 0.0000 0.0000
Li2 Li 0.9998 0.4922 0.0054
Li3 Li 0.1638 0.8340 0.6724
Li4 Li 0.3309 0.1701 0.3283
Li5 Li 0.4987 0.5007 0.0015
Li6 Li 0.6661 0.8300 0.6684
Li7 Li 0.8359 0.1574 0.3270
Mn1 Mn 0.4979 0.9985 0.0006
Mn2 Mn 0.6710 0.3240 0.6679
Co1 Co 0.1607 0.3251 0.6723
Co2 Co 0.3203 0.6750 0.3263
Co3 Co 0.8341 0.6770 0.3258
O1 O 0.0062 0.7348 0.4977
O2 O 0.1596 0.5815 0.1872
O3 O 0.1899 0.0688 0.1622
O4 O 0.3399 0.9300 0.8400
O5 O 0.3561 0.3897 0.8341
O6 O 0.4907 0.2639 0.5129
O7 O 0.5159 0.7109 0.4988
O8 O 0.6537 0.6142 0.1549
O9 O 0.6571 0.0674 0.1639
O10 O 0.8060 0.9462 0.8317
O11 O 0.8371 0.4090 0.8115
O12 O 0.9796 0.2548 0.5103
```